This entry pairs a crystal structure of CsSi5Pd3 with its simulated PXRD pattern. Radiation: a wavelength of 1.5418 Å. Structure: a GGA-PBE-relaxed structure.
No peak broadening, texture or thermal motion is included.

Cell and atoms:
a = 5.283 Å, b = 5.283 Å, c = 8.237 Å
α = 90.00°, β = 90.00°, γ = 120.00°
Atoms (fractional coordinates):
Cs1 0.000 0.000 0.000
Si1 0.000 0.000 0.500
Si2 0.333 0.667 0.251
Si3 0.333 0.667 0.749
Si4 0.667 0.333 0.251
Si5 0.667 0.333 0.749
Pd1 0.000 0.500 0.500
Pd2 0.500 0.000 0.500
Pd3 0.500 0.500 0.500

Largest 12 diffraction maxima, low angle first, 2θ = 10–90°:
two_theta	d [Å]	I (rel.)
10.74	8.237	100
21.58	4.119	52
22.23	4.000	95
35.69	2.515	28
38.23	2.354	23
39.39	2.288	44
40.94	2.204	22
43.97	2.059	21
45.35	2.000	93
60.49	1.531	24
81.82	1.177	17
87.80	1.112	17

***

This entry pairs a crystal structure of CsPmSi with its simulated PXRD pattern. Radiation: a wavelength of 1.5418 Å. Structure: a GGA-PBE-relaxed structure.
No peak broadening, texture or thermal motion is included.

Cell and atoms:
a = 5.418 Å, b = 5.418 Å, c = 5.418 Å
α = 60.00°, β = 60.00°, γ = 60.00°
Atoms (fractional coordinates):
Cs1 0.000 0.000 0.000
Pm1 0.500 0.500 0.500
Si1 0.250 0.250 0.250

Largest 12 diffraction maxima, low angle first, 2θ = 10–90°:
two_theta	d [Å]	I (rel.)
20.07	4.424	3
23.22	3.831	81
33.06	2.709	100
40.79	2.212	25
47.46	1.916	18
53.48	1.713	34
59.06	1.564	37
69.38	1.355	12
74.26	1.277	16
79.03	1.212	16
83.72	1.155	9
88.38	1.106	4

***

This entry pairs a crystal structure of Cs2PrSe4 with its simulated PXRD pattern. Radiation: a wavelength of 1.5418 Å. Structure: a GGA-PBE-relaxed structure.
No peak broadening, texture or thermal motion is included.

Cell and atoms:
a = 8.587 Å, b = 8.587 Å, c = 11.382 Å
α = 117.32°, β = 117.32°, γ = 50.60°
Atoms (fractional coordinates):
Cs1 0.094 0.094 0.410
Cs2 0.343 0.343 0.230
Cs3 0.657 0.657 0.770
Cs4 0.906 0.906 0.590
Pr1 0.372 0.372 0.821
Pr2 0.628 0.628 0.179
Se1 0.164 0.730 0.047
Se2 0.179 0.179 0.782
Se3 0.270 0.836 0.953
Se4 0.367 0.367 0.573
Se5 0.633 0.633 0.427
Se6 0.730 0.164 0.047
Se7 0.821 0.821 0.218
Se8 0.836 0.270 0.953

Largest 12 diffraction maxima, low angle first, 2θ = 10–90°:
two_theta	d [Å]	I (rel.)
22.50	3.952	70
23.34	3.811	100
23.45	3.793	93
24.25	3.670	97
25.38	3.509	60
25.92	3.437	50
26.66	3.344	64
27.47	3.247	77
30.43	2.938	59
33.99	2.638	77
36.36	2.471	96
45.92	1.976	77

***

This entry pairs a crystal structure of CsPrSiSe4 with its simulated PXRD pattern. Radiation: a wavelength of 1.5418 Å. Structure: a GGA-PBE-relaxed structure.
No peak broadening, texture or thermal motion is included.

Cell and atoms:
a = 6.857 Å, b = 7.134 Å, c = 9.836 Å
α = 90.00°, β = 108.13°, γ = 90.00°
Atoms (fractional coordinates):
Cs1 0.230 0.000 0.435
Cs2 0.770 0.500 0.565
Pr1 0.272 0.981 0.954
Pr2 0.728 0.481 0.046
Si1 0.286 0.514 0.169
Si2 0.714 0.014 0.831
Se1 0.089 0.509 0.317
Se2 0.090 0.566 0.937
Se3 0.472 0.250 0.784
Se4 0.486 0.248 0.199
Se5 0.514 0.748 0.801
Se6 0.528 0.750 0.216
Se7 0.910 0.066 0.063
Se8 0.911 0.009 0.683

Largest 12 diffraction maxima, low angle first, 2θ = 10–90°:
two_theta	d [Å]	I (rel.)
18.44	4.812	73
24.96	3.567	54
26.71	3.338	73
28.09	3.177	100
28.53	3.129	74
29.55	3.023	96
30.81	2.902	53
31.55	2.836	80
31.96	2.801	91
37.38	2.406	73
40.38	2.234	39
43.55	2.078	46

***

This entry pairs a crystal structure of CsPrTe4 with its simulated PXRD pattern. Radiation: a wavelength of 1.5418 Å. Structure: a GGA-PBE-relaxed structure.
No peak broadening, texture or thermal motion is included.

Cell and atoms:
a = 7.007 Å, b = 7.007 Å, c = 9.707 Å
α = 90.00°, β = 90.00°, γ = 90.00°
Atoms (fractional coordinates):
Cs1 0.250 0.250 0.000
Cs2 0.750 0.750 0.000
Pr1 0.250 0.250 0.500
Pr2 0.750 0.750 0.500
Te1 0.107 0.607 0.302
Te2 0.107 0.893 0.698
Te3 0.393 0.607 0.698
Te4 0.393 0.893 0.302
Te5 0.607 0.107 0.698
Te6 0.607 0.393 0.302
Te7 0.893 0.107 0.302
Te8 0.893 0.393 0.698

Largest 12 diffraction maxima, low angle first, 2θ = 10–90°:
two_theta	d [Å]	I (rel.)
25.69	3.467	100
27.57	3.236	19
29.96	2.982	96
31.49	2.841	42
34.06	2.633	28
40.06	2.251	15
40.72	2.216	49
47.38	1.919	28
55.79	1.648	25
56.22	1.636	15
59.09	1.563	19
73.43	1.290	11

***

This entry pairs a crystal structure of CsPrTh with its simulated PXRD pattern. Radiation: a wavelength of 1.5418 Å. Structure: a GGA-PBE-relaxed structure.
No peak broadening, texture or thermal motion is included.

Cell and atoms:
a = 5.780 Å, b = 5.780 Å, c = 5.780 Å
α = 60.00°, β = 60.00°, γ = 60.00°
Atoms (fractional coordinates):
Cs1 0.000 0.000 0.000
Pr1 0.250 0.250 0.250
Th1 0.500 0.500 0.500

Largest 12 diffraction maxima, low angle first, 2θ = 10–90°:
two_theta	d [Å]	I (rel.)
18.80	4.719	26
21.75	4.087	22
30.94	2.890	100
36.46	2.464	15
38.14	2.360	7
44.33	2.043	19
48.55	1.875	7
49.90	1.828	10
55.04	1.668	40
64.49	1.445	12
73.24	1.292	17
89.79	1.092	21